(1)
Starting from a DFT-relaxed cell (GGA-PBE, Alexandria), the PXRD pattern of Sm6Er2Tl was calculated for Cu Ka.

The 8 most intense peaks (10 to 90 degrees two-theta), sorted by position:
2θ (°)  I/Imax
28.48  11
28.65  24
31.71  36
32.68  100
33.00  48
50.54  19
60.73  17
61.58  14

Atomic structure:
Lattice parameters (Å, degrees): 11.117 11.117 9.077 108.77 108.77 32.75
Fractional coordinates of all 18 atoms:
Sm 0.001 0.672 0.084
Sm 0.123 0.770 0.865
Sm 0.230 0.877 0.635
Sm 0.242 0.536 0.471
Sm 0.328 0.999 0.416
Sm 0.464 0.758 0.029
Sm 0.536 0.242 0.971
Sm 0.672 0.001 0.584
Sm 0.758 0.464 0.529
Sm 0.770 0.123 0.365
Sm 0.877 0.230 0.135
Sm 0.999 0.328 0.916
Er 0.108 0.445 0.695
Er 0.445 0.108 0.195
Er 0.555 0.892 0.805
Er 0.892 0.555 0.305
Tl 0.331 0.669 0.250
Tl 0.669 0.331 0.750

=====

(2)
Starting from a DFT-relaxed cell (GGA-PBE, Alexandria), the PXRD pattern of LiHo3Tm3Te8 was calculated for Cu Ka.

The 8 most intense peaks (10 to 90 degrees two-theta), sorted by position:
2θ (°)  I/Imax
14.55  14
20.64  13
29.35  100
41.99  76
52.05  27
60.88  13
69.01  35
76.71  26

Atomic structure:
Lattice parameters (Å, degrees): 8.610 8.610 8.610 59.96 59.96 59.96
Fractional coordinates of all 15 atoms:
Li 0.000 0.000 0.000
Ho 0.000 0.000 0.500
Ho 0.000 0.500 0.000
Ho 0.500 0.000 0.000
Tm 0.000 0.500 0.500
Tm 0.500 0.000 0.500
Tm 0.500 0.500 0.000
Te 0.250 0.250 0.748
Te 0.250 0.748 0.250
Te 0.251 0.251 0.251
Te 0.252 0.750 0.750
Te 0.748 0.250 0.250
Te 0.749 0.749 0.749
Te 0.750 0.252 0.750
Te 0.750 0.750 0.252

=====

(3)
Starting from a DFT-relaxed cell (GGA-PBE, Alexandria), the PXRD pattern of Na3HgPb4 was calculated for Cu Ka.

The 8 most intense peaks (10 to 90 degrees two-theta), sorted by position:
2θ (°)  I/Imax
17.84  100
25.61  60
30.52  60
30.60  62
32.50  47
33.87  39
35.16  32
39.09  30

Atomic structure:
Lattice parameters (Å, degrees): 3.511 5.406 12.868 90.32 97.36 90.19
Fractional coordinates of all 8 atoms:
Na 0.000 0.000 0.000
Na 0.143 0.691 0.278
Na 0.857 0.309 0.722
Hg 0.500 0.500 0.000
Pb 0.274 0.751 0.547
Pb 0.393 0.811 0.798
Pb 0.607 0.189 0.202
Pb 0.726 0.249 0.453

=====

(4)
Starting from a DFT-relaxed cell (GGA-PBE, Alexandria), the PXRD pattern of Sc2Sb was calculated for Cu Ka.

The 8 most intense peaks (10 to 90 degrees two-theta), sorted by position:
2θ (°)  I/Imax
23.92  72
29.91  46
32.05  45
34.27  26
37.85  100
40.56  34
42.80  51
75.10  25

Atomic structure:
Lattice parameters (Å, degrees): 4.225 4.225 7.849 90.00 90.00 90.00
Fractional coordinates of all 6 atoms:
Sc 0.250 0.250 0.156
Sc 0.250 0.750 0.500
Sc 0.750 0.250 0.500
Sc 0.750 0.750 0.844
Sb 0.250 0.250 0.780
Sb 0.750 0.750 0.220

=====

(5)
Starting from a DFT-relaxed cell (GGA-PBE, Alexandria), the PXRD pattern of Sm3HoSc2 was calculated for Cu Ka.

The 8 most intense peaks (10 to 90 degrees two-theta), sorted by position:
2θ (°)  I/Imax
31.36  100
31.46  49
31.60  49
36.41  66
36.59  33
52.48  23
52.67  34
62.60  26

Atomic structure:
Lattice parameters (Å, degrees): 6.952 7.009 7.775 102.95 103.16 90.10
Fractional coordinates of all 12 atoms:
Sm 0.090 0.084 0.336
Sm 0.091 0.585 0.337
Sm 0.259 0.750 0.998
Sm 0.741 0.250 0.002
Sm 0.909 0.415 0.663
Sm 0.910 0.916 0.664
Ho 0.258 0.250 0.999
Ho 0.742 0.750 0.001
Sc 0.421 0.415 0.661
Sc 0.421 0.916 0.660
Sc 0.579 0.084 0.340
Sc 0.579 0.585 0.339

=====

(6)
Starting from a DFT-relaxed cell (GGA-PBE, Alexandria), the PXRD pattern of KAcPd4 was calculated for Cu Ka.

The 8 most intense peaks (10 to 90 degrees two-theta), sorted by position:
2θ (°)  I/Imax
19.34  17
22.37  16
31.85  30
37.53  100
39.27  37
60.53  33
66.56  25
80.09  14

Atomic structure:
Lattice parameters (Å, degrees): 5.620 5.620 5.620 60.00 60.00 60.00
Fractional coordinates of all 6 atoms:
K 0.000 0.000 0.000
Ac 0.250 0.250 0.250
Pd 0.125 0.625 0.625
Pd 0.625 0.125 0.625
Pd 0.625 0.625 0.125
Pd 0.625 0.625 0.625

=====

Q: Number 3 is which compound?
A: Na3HgPb4